Entry 1:
Starting from a crystal structure in Alexandria, relaxed with PBE, the X-ray powder pattern of Pr6CdN3 was simulated for λ = 1.5418 Å (Cu Kα).
Neutral-atom scattering factors, no anomalous dispersion.

Structure:
Cell: 7.190 7.190 7.190 Å, 56.52 56.52 56.52°
Fractional positions:
Pr1 0.008 0.342 0.650
Pr2 0.066 0.928 0.485
Pr3 0.342 0.650 0.008
Pr4 0.485 0.066 0.928
Pr5 0.650 0.008 0.342
Pr6 0.928 0.485 0.066
Cd1 0.514 0.514 0.514
N1 0.077 0.077 0.077
N2 0.264 0.264 0.264
N3 0.744 0.744 0.744

Top 8 peaks for 2θ from 10° to 80°, in order of rising 2θ:
2θ/deg  I/Imax
29.68  37
30.16  100
30.73  19
31.93  24
36.40  20
46.19  16
52.97  22
56.16  19

Entry 2:
Starting from a crystal structure in Alexandria, relaxed with PBE, the X-ray powder pattern of UBi2Se5 was simulated for λ = 1.5418 Å (Cu Kα).
Neutral-atom scattering factors, no anomalous dispersion.

Structure:
Cell: 5.971 14.046 7.203 Å, 90.00 113.81 90.00°
Fractional positions:
U1 0.000 0.000 0.000
U2 0.500 0.500 0.000
Bi1 0.000 0.274 0.000
Bi2 0.000 0.726 0.000
Bi3 0.500 0.226 0.000
Bi4 0.500 0.774 0.000
Se1 0.000 0.500 0.000
Se2 0.143 0.132 0.294
Se3 0.143 0.868 0.294
Se4 0.357 0.368 0.706
Se5 0.357 0.632 0.706
Se6 0.500 0.000 0.000
Se7 0.643 0.368 0.294
Se8 0.643 0.632 0.294
Se9 0.857 0.132 0.706
Se10 0.857 0.868 0.706

Top 8 peaks for 2θ from 10° to 80°, in order of rising 2θ:
2θ/deg  I/Imax
13.44  100
28.81  47
29.93  43
31.58  22
31.81  21
37.43  37
41.92  21
48.87  21

Entry 3:
Starting from a crystal structure in Alexandria, relaxed with PBE, the X-ray powder pattern of FeTcIrRh was simulated for λ = 1.5418 Å (Cu Kα).
Neutral-atom scattering factors, no anomalous dispersion.

Structure:
Cell: 4.113 2.675 10.025 Å, 90.00 90.00 90.00°
Fractional positions:
Fe1 0.000 0.000 0.000
Fe2 0.000 0.500 0.500
Tc1 0.000 0.000 0.249
Tc2 0.000 0.500 0.749
Ir1 0.500 0.000 0.606
Ir2 0.500 0.500 0.106
Rh1 0.500 0.000 0.865
Rh2 0.500 0.500 0.365

Top 8 peaks for 2θ from 10° to 80°, in order of rising 2θ:
2θ/deg  I/Imax
21.61  22
41.26  100
42.23  86
43.33  46
44.04  40
57.44  16
63.49  29
79.39  15

Entry 4:
Starting from a crystal structure in Alexandria, relaxed with PBE, the X-ray powder pattern of AgHgP was simulated for λ = 1.5418 Å (Cu Kα).
Neutral-atom scattering factors, no anomalous dispersion.

Structure:
Cell: 11.406 3.269 7.956 Å, 90.00 106.49 90.00°
Fractional positions:
Ag1 0.000 0.000 0.000
Ag2 0.160 0.000 0.595
Ag3 0.500 0.500 0.000
Ag4 0.660 0.500 0.595
Hg1 0.230 0.500 0.971
Hg2 0.468 0.000 0.276
Hg3 0.730 0.000 0.971
Hg4 0.968 0.500 0.276
P1 0.358 0.000 0.533
P2 0.470 0.500 0.679
P3 0.858 0.500 0.533
P4 0.970 0.000 0.679

Top 8 peaks for 2θ from 10° to 80°, in order of rising 2θ:
2θ/deg  I/Imax
11.60  35
17.06  57
31.75  100
32.75  36
35.30  41
35.58  64
36.56  47
41.04  36

Entry 5:
Starting from a crystal structure in Alexandria, relaxed with PBE, the X-ray powder pattern of Dy5Ge2Te2 was simulated for λ = 1.5418 Å (Cu Kα).
Neutral-atom scattering factors, no anomalous dispersion.

Structure:
Cell: 8.554 8.554 7.897 Å, 90.00 90.00 54.64°
Fractional positions:
Dy1 0.000 0.000 0.000
Dy2 0.036 0.713 0.662
Dy3 0.213 0.536 0.162
Dy4 0.287 0.964 0.662
Dy5 0.464 0.787 0.162
Dy6 0.500 0.500 0.500
Dy7 0.536 0.213 0.838
Dy8 0.713 0.036 0.338
Dy9 0.787 0.464 0.838
Dy10 0.964 0.287 0.338
Ge1 0.142 0.858 0.360
Ge2 0.358 0.642 0.860
Ge3 0.642 0.358 0.140
Ge4 0.858 0.142 0.640
Te1 0.204 0.204 0.000
Te2 0.296 0.296 0.500
Te3 0.704 0.704 0.500
Te4 0.796 0.796 0.000

Top 8 peaks for 2θ from 10° to 80°, in order of rising 2θ:
2θ/deg  I/Imax
25.34  46
30.89  80
32.15  50
32.75  86
33.59  66
34.76  100
36.48  73
36.65  73

Entry 6:
Starting from a crystal structure in Alexandria, relaxed with PBE, the X-ray powder pattern of AlSiSe4 was simulated for λ = 1.5418 Å (Cu Kα).
Neutral-atom scattering factors, no anomalous dispersion.

Structure:
Cell: 5.721 5.721 9.657 Å, 90.00 90.00 90.00°
Fractional positions:
Al1 0.000 0.000 0.000
Al2 0.000 0.000 0.500
Si1 0.000 0.500 0.250
Si2 0.500 0.000 0.750
Se1 0.252 0.267 0.374
Se2 0.252 0.733 0.126
Se3 0.267 0.252 0.874
Se4 0.267 0.748 0.626
Se5 0.733 0.252 0.626
Se6 0.733 0.748 0.874
Se7 0.748 0.267 0.126
Se8 0.748 0.733 0.374

Top 8 peaks for 2θ from 10° to 80°, in order of rising 2θ:
2θ/deg  I/Imax
28.79  100
31.27  26
37.24  8
44.81  19
49.40  29
54.14  31
62.06  11
79.75  10